The following is a calculated PXRD pattern of Mo6PPb8. It was derived from DFT lattice parameters and positions (GGA-PBE), using copper Kα.
Intensities are scaled so that the largest is 100.

Structure:
```
data_Mo6PPb8
_cell_length_a 9.8501
_cell_length_b 9.8501
_cell_length_c 13.0469
_cell_angle_alpha 90.00
_cell_angle_beta 90.00
_cell_angle_gamma 120.00
_space_group_name_H-M_alt 'R -3'
_space_group_IT_number 148
_space_group_name_Hall '-R 3'
loop_
_atom_site_label
_atom_site_type_symbol
_atom_site_fract_x
_atom_site_fract_y
_atom_site_fract_z
_atom_site_occupancy
Mo1 Mo 0.0379 0.8646 0.4224 1
P1 P 0.0000 0.0000 0.0000 1
Pb1 Pb 0.0000 0.0000 0.2219 1
Pb2 Pb 0.0155 0.7194 0.9189 1
```

The 12 most intense peaks (2θ from 10° to 90°), by intensity:
(hkl), 2θ/deg, I/Imax
1 1 3, 27.36, 100
1 2 2, 30.94, 90
3 0 0, 31.46, 61
4 -2 3, 42.17, 52
3 -1 4, 39.29, 47
1 3 1, 38.68, 35
0 0 6, 41.53, 28
2 3 5, 59.01, 24
0 3 6, 53.01, 18
1 5 2, 62.24, 16
4 0 1, 42.97, 14
1 3 7, 63.55, 14

The following is a calculated PXRD pattern of PmMoP. It was derived from DFT lattice parameters and positions (GGA-PBE), using copper Kα.
Intensities are scaled so that the largest is 100.

Structure:
```
data_PmMoP
_cell_length_a 3.954
_cell_length_b 3.978
_cell_length_c 7.523
_cell_angle_alpha 90.00
_cell_angle_beta 90.05
_cell_angle_gamma 90.00
_space_group_name_H-M_alt 'P 1 21/m 1'
_space_group_IT_number 11
loop_
_space_group_symop_operation_xyz
'x,y,z'
'-x,-y,-z'
'-x,y+1/2,-z'
'x,-y+1/2,z'
loop_
_atom_site_label
_atom_site_type_symbol
_atom_site_fract_x
_atom_site_fract_y
_atom_site_fract_z
_atom_site_occupancy
Pm1 Pm 0.250 0.250 0.153 1
Mo1 Mo 0.252 0.750 0.500 1
P1 P 0.249 0.250 0.713 1
```

The 12 most intense peaks (2θ from 10° to 90°), by intensity:
(hkl), 2θ/deg, I/Imax
1 1 -1, 34.12, 100
1 1 2, 40.11, 64
0 1 2, 32.79, 62
0 0 3, 35.81, 35
0 1 1, 25.32, 28
1 0 -1, 25.45, 28
0 2 0, 45.60, 27
2 0 0, 45.90, 27
1 1 4, 59.15, 24
1 0 2, 32.88, 21
2 2 0, 66.70, 17
1 2 2, 57.35, 17

The following is a calculated PXRD pattern of PrMoP. It was derived from DFT lattice parameters and positions (GGA-PBE), using copper Kα.
Intensities are scaled so that the largest is 100.

Structure:
```
data_PrMoP
_cell_length_a 7.889
_cell_length_b 7.889
_cell_length_c 4.123
_cell_angle_alpha 90.00
_cell_angle_beta 90.00
_cell_angle_gamma 90.00
_space_group_name_H-M_alt 'P 42/m'
_space_group_IT_number 84
loop_
_space_group_symop_operation_xyz
'x,y,z'
'-x,-y,-z'
'-y,x,z+1/2'
'y,-x,-z+1/2'
'-x,-y,z'
'x,y,-z'
'y,-x,z+1/2'
'-y,x,-z+1/2'
loop_
_atom_site_label
_atom_site_type_symbol
_atom_site_fract_x
_atom_site_fract_y
_atom_site_fract_z
_atom_site_occupancy
Pr1 Pr 0.067 0.717 0.000 1
Mo1 Mo 0.353 0.407 0.000 1
P1 P 0.181 0.439 0.500 1
```

The 12 most intense peaks (2θ from 10° to 90°), by intensity:
(hkl), 2θ/deg, I/Imax
2 1 1, 33.43, 100
3 1 0, 36.00, 51
2 2 1, 38.99, 49
2 0 1, 31.39, 43
1 0 1, 24.36, 39
1 2 0, 25.24, 33
1 3 1, 42.35, 31
0 0 2, 43.92, 30
3 1 2, 58.04, 25
2 2 0, 32.09, 25
1 0 0, 11.22, 22
5 1 1, 64.31, 22

The following is a calculated PXRD pattern of MoPPt2. It was derived from DFT lattice parameters and positions (GGA-PBE), using copper Kα.
Intensities are scaled so that the largest is 100.

Structure:
```
data_MoPPt2
_cell_length_a 9.625
_cell_length_b 2.976
_cell_length_c 4.307
_cell_angle_alpha 90.00
_cell_angle_beta 90.54
_cell_angle_gamma 90.00
_space_group_name_H-M_alt 'C 1 2/m 1'
_space_group_IT_number 12
loop_
_space_group_symop_operation_xyz
'x,y,z'
'-x,-y,-z'
'-x,y,-z'
'x,-y,z'
'x+1/2,y+1/2,z'
'-x+1/2,-y+1/2,-z'
'-x+1/2,y+1/2,-z'
'x+1/2,-y+1/2,z'
loop_
_atom_site_label
_atom_site_type_symbol
_atom_site_fract_x
_atom_site_fract_y
_atom_site_fract_z
_atom_site_occupancy
Mo1 Mo 0.000 0.000 0.000 1
P1 P 0.000 0.500 0.500 1
Pt1 Pt 0.221 0.500 0.753 1
```

The 12 most intense peaks (2θ from 10° to 90°), by intensity:
(hkl), 2θ/deg, I/Imax
1 1 -1, 37.87, 100
2 0 0, 18.44, 59
3 1 1, 46.79, 45
4 0 0, 37.37, 35
2 0 2, 46.36, 27
2 0 -2, 46.01, 26
1 1 1, 37.97, 24
3 1 0, 41.38, 22
1 1 3, 74.05, 17
2 0 1, 27.93, 17
4 0 -1, 42.88, 15
5 1 -1, 61.08, 12

The following is a calculated PXRD pattern of MoPPt2. It was derived from DFT lattice parameters and positions (GGA-PBE), using copper Kα.
Intensities are scaled so that the largest is 100.

Structure:
```
data_MoPPt2
_cell_length_a 2.8977
_cell_length_b 2.8977
_cell_length_c 24.8673
_cell_angle_alpha 90.00
_cell_angle_beta 90.00
_cell_angle_gamma 120.00
_space_group_name_H-M_alt 'R 3 m'
_space_group_IT_number 160
_space_group_name_Hall 'R 3 -2"'
loop_
_atom_site_label
_atom_site_type_symbol
_atom_site_fract_x
_atom_site_fract_y
_atom_site_fract_z
_atom_site_occupancy
Mo1 Mo 0.0000 0.0000 0.0000 1
P1 P 0.0000 0.0000 0.7378 1
Pt1 Pt 0.0000 0.0000 0.2437 1
Pt2 Pt 0.0000 0.0000 0.4815 1
```

The 12 most intense peaks (2θ from 10° to 90°), by intensity:
(hkl), 2θ/deg, I/Imax
1 0 4, 38.69, 100
0 1 8, 46.51, 54
0 0 3, 10.67, 46
0 1 5, 40.25, 25
1 1 0, 64.29, 25
0 0 9, 32.40, 22
1 0 1, 35.97, 20
1 1 12, 80.97, 18
0 0 12, 43.68, 18
1 0 13, 60.90, 15
0 2 4, 77.63, 13
1 1 9, 73.85, 13

The following is a calculated PXRD pattern of MoPRu4. It was derived from DFT lattice parameters and positions (GGA-PBE), using copper Kα.
Intensities are scaled so that the largest is 100.

Structure:
```
data_MoPRu4
_cell_length_a 7.154
_cell_length_b 7.154
_cell_length_c 7.154
_cell_angle_alpha 90.00
_cell_angle_beta 90.00
_cell_angle_gamma 90.00
_space_group_name_H-M_alt 'F -4 3 m'
_space_group_IT_number 216
_space_group_name_Hall 'F -4 2 3'
loop_
_atom_site_label
_atom_site_type_symbol
_atom_site_fract_x
_atom_site_fract_y
_atom_site_fract_z
_atom_site_occupancy
Mo1 Mo 0.000 0.000 0.000 1
P1 P 0.250 0.250 0.750 1
Ru1 Ru 0.125 0.125 0.375 1
```

The 12 most intense peaks (2θ from 10° to 90°), by intensity:
(hkl), 2θ/deg, I/Imax
3 1 1, 41.88, 100
2 2 2, 43.84, 57
1 1 1, 21.52, 33
5 1 1, 68.11, 30
4 4 0, 75.12, 28
2 2 0, 35.49, 15
4 0 0, 51.07, 13
5 3 3, 89.93, 11
3 3 1, 56.03, 7
5 3 1, 79.22, 5
4 2 2, 63.73, 5
2 0 0, 24.89, 5